The following is a calculated powder diffractogram of Li7VO5F. It was derived from a cell relaxed with PBE+U, using copper Kα.
Lines closer than 0.1° are merged.

Atomic structure:
Cell lengths 5.3779, 5.4029, 5.9132 Å; angles 117.09, 90.36, 119.26 degrees
Space group P1 (No. 1)
Symmetry-distinct sites (fractional):
Li 0.0000 0.0000 0.0000 (multiplicity 1)
Li 0.0123 0.5244 0.3113 (multiplicity 1)
Li 0.2720 0.1297 0.6824 (multiplicity 1)
Li 0.3101 0.6567 0.0417 (multiplicity 1)
Li 0.4398 0.1888 0.2818 (multiplicity 1)
Li 0.7611 0.8618 0.2997 (multiplicity 1)
Li 0.8167 0.4193 0.6957 (multiplicity 1)
V 0.4855 0.7280 0.6511 (multiplicity 1)
O 0.1404 0.2884 0.4091 (multiplicity 1)
O 0.2991 0.9022 0.8881 (multiplicity 1)
O 0.4390 0.9133 0.4280 (multiplicity 1)
O 0.6021 0.6186 0.9008 (multiplicity 1)
O 0.7629 0.6533 0.4866 (multiplicity 1)
F 0.9358 0.2749 0.9258 (multiplicity 1)

Peak list (10 most intense, 10 to 90 degrees two-theta, sorted by position)
- d 5.031, 17.6 deg, intensity 70, (0 0 1)
- d 4.487, 19.8 deg, intensity 90, (0 1 -1)
- d 4.450, 20.0 deg, intensity 59, (1 -1 0)
- d 4.010, 22.2 deg, intensity 42, (0 1 0)
- d 3.980, 22.3 deg, intensity 41, (1 0 -1)
- d 2.940, 30.4 deg, intensity 33, (1 0 1)
- d 2.402, 37.4 deg, intensity 52, (1 1 0)
- d 2.373, 37.9 deg, intensity 100, (1 -2 2)
- d 1.853, 49.2 deg, intensity 31, (1 1 1)
- d 1.836, 49.6 deg, intensity 56, (1 -2 3)


The following is a calculated powder diffractogram of Li3V2O4F2. It was derived from a cell relaxed with PBE+U, using copper Kα.
Lines closer than 0.1° are merged.

Atomic structure:
Cell lengths 5.9349, 7.3789, 7.8920 Å; angles 90.90, 100.38, 90.38 degrees
Space group P1 (No. 1)
Symmetry-distinct sites (fractional):
Li 0.0000 0.0000 0.0000 (multiplicity 1)
Li 0.0369 0.2835 0.2281 (multiplicity 1)
Li 0.2283 0.2709 0.9042 (multiplicity 1)
Li 0.3406 0.0159 0.3538 (multiplicity 1)
Li 0.3998 0.2732 0.5919 (multiplicity 1)
Li 0.5247 0.0422 0.0256 (multiplicity 1)
Li 0.6740 0.0080 0.7091 (multiplicity 1)
Li 0.8412 0.9981 0.3648 (multiplicity 1)
Li 0.9018 0.2718 0.5891 (multiplicity 1)
V 0.1179 0.6472 0.4734 (multiplicity 1)
V 0.2935 0.6444 0.1384 (multiplicity 1)
V 0.4449 0.6473 0.7988 (multiplicity 1)
V 0.6165 0.6324 0.4627 (multiplicity 1)
V 0.7862 0.6317 0.1296 (multiplicity 1)
V 0.9428 0.6419 0.7986 (multiplicity 1)
O 0.0000 0.4978 0.0356 (multiplicity 1)
O 0.0704 0.7812 0.2635 (multiplicity 1)
O 0.1617 0.4944 0.6739 (multiplicity 1)
O 0.2201 0.7792 0.9184 (multiplicity 1)
O 0.3447 0.5023 0.3645 (multiplicity 1)
O 0.4001 0.7837 0.5737 (multiplicity 1)
O 0.5063 0.5059 0.0196 (multiplicity 1)
O 0.5888 0.7842 0.2491 (multiplicity 1)
O 0.6653 0.4989 0.6777 (multiplicity 1)
O 0.7332 0.7884 0.9182 (multiplicity 1)
O 0.8442 0.4987 0.3549 (multiplicity 1)
O 0.8795 0.7834 0.5683 (multiplicity 1)
F 0.1176 0.1607 0.4506 (multiplicity 1)
F 0.2695 0.1317 0.1239 (multiplicity 1)
F 0.4514 0.1453 0.8046 (multiplicity 1)
F 0.6215 0.1260 0.4872 (multiplicity 1)
F 0.8097 0.1072 0.1464 (multiplicity 1)
F 0.9528 0.1435 0.7992 (multiplicity 1)

Peak list (10 most intense, 10 to 90 degrees two-theta, sorted by position)
- d 7.378, 12.0 deg, intensity 100, (0 1 0)
- d 3.689, 24.1 deg, intensity 33, (0 2 0)
- d 2.585, 34.7 deg, intensity 16, (2 0 1)
- d 2.565, 35.0 deg, intensity 8, (2 0 -2)
- d 2.427, 37.0 deg, intensity 5, (2 1 1)
- d 2.135, 42.3 deg, intensity 19, (0 2 -3)
- d 2.102, 43.0 deg, intensity 40, (2 2 1)
- d 1.496, 62.0 deg, intensity 8, (2 0 4)
- d 1.486, 62.5 deg, intensity 5, (2 0 -5)
- d 1.484, 62.6 deg, intensity 5, (4 0 -1)


The following is a calculated powder diffractogram of Li2VO2F. It was derived from a cell relaxed with PBE+U, using copper Kα.
Lines closer than 0.1° are merged.

Atomic structure:
Cell lengths 26.1250, 3.0035, 7.3635 Å; angles 90.00, 90.18, 90.00 degrees
Space group Cm (No. 8)
Symmetry-distinct sites (fractional):
Li 0.0000 0.0000 0.0000 (multiplicity 2)
Li 0.0334 0.5000 0.7196 (multiplicity 2)
Li 0.0846 0.5000 0.9874 (multiplicity 2)
Li 0.1175 0.0000 0.7122 (multiplicity 2)
Li 0.1841 0.0000 0.0145 (multiplicity 2)
Li 0.2196 0.5000 0.6955 (multiplicity 2)
Li 0.2846 0.5000 0.0075 (multiplicity 2)
Li 0.3197 0.0000 0.7030 (multiplicity 2)
Li 0.3892 0.0000 0.0093 (multiplicity 2)
Li 0.4334 0.5000 0.7144 (multiplicity 2)
V 0.0578 0.0000 0.3577 (multiplicity 2)
V 0.1567 0.5000 0.3576 (multiplicity 2)
V 0.2547 0.0000 0.3544 (multiplicity 2)
V 0.3514 0.5000 0.3374 (multiplicity 2)
V 0.4581 0.0000 0.3481 (multiplicity 2)
O 0.0228 0.5000 0.2076 (multiplicity 2)
O 0.0572 0.0000 0.8540 (multiplicity 2)
O 0.0904 0.5000 0.5038 (multiplicity 2)
O 0.1249 0.0000 0.2121 (multiplicity 2)
O 0.1921 0.0000 0.5098 (multiplicity 2)
O 0.2239 0.5000 0.2023 (multiplicity 2)
O 0.2915 0.5000 0.5050 (multiplicity 2)
O 0.3215 0.0000 0.1955 (multiplicity 2)
O 0.4187 0.5000 0.2167 (multiplicity 2)
O 0.4865 0.5000 0.5014 (multiplicity 2)
F 0.1608 0.5000 0.8567 (multiplicity 2)
F 0.2572 0.0000 0.8526 (multiplicity 2)
F 0.3551 0.5000 0.8509 (multiplicity 2)
F 0.3867 0.0000 0.5144 (multiplicity 2)
F 0.4512 0.0000 0.8629 (multiplicity 2)

Peak list (10 most intense, 10 to 90 degrees two-theta, sorted by position)
- d 7.363, 12.0 deg, intensity 100, (0 0 1)
- d 3.682, 24.2 deg, intensity 29, (0 0 2)
- d 2.612, 34.3 deg, intensity 8, (10 0 0)
- d 2.604, 34.4 deg, intensity 16, (5 1 0)
- d 2.454, 36.6 deg, intensity 11, (5 1 1)
- d 2.134, 42.4 deg, intensity 23, (10 0 -2)
- d 2.125, 42.5 deg, intensity 55, (5 1 2)
- d 1.786, 51.1 deg, intensity 9, (5 1 3)
- d 1.507, 61.5 deg, intensity 14, (15 1 0)
- d 1.503, 61.7 deg, intensity 21, (5 1 -4)


The following is a calculated powder diffractogram of Li2V2OF6. It was derived from a cell relaxed with PBE+U, using copper Kα.
Lines closer than 0.1° are merged.

Atomic structure:
Cell lengths 6.3166, 6.5132, 7.7991 Å; angles 101.00, 111.25, 104.70 degrees
Space group P-1 (No. 2)
Symmetry-distinct sites (fractional):
Li 0.1630 0.0735 0.3307 (multiplicity 2)
Li 0.2357 0.6326 0.4344 (multiplicity 2)
V 0.2739 0.8012 0.9264 (multiplicity 2)
V 0.3398 0.3264 0.7757 (multiplicity 2)
O 0.3774 0.0973 0.8866 (multiplicity 2)
F 0.0180 0.8052 0.3925 (multiplicity 2)
F 0.0668 0.3219 0.2755 (multiplicity 2)
F 0.1811 0.8990 0.1233 (multiplicity 2)
F 0.2908 0.5052 0.9991 (multiplicity 2)
F 0.3295 0.6197 0.7080 (multiplicity 2)
F 0.4462 0.2551 0.5735 (multiplicity 2)

Peak list (10 most intense, 10 to 90 degrees two-theta, sorted by position)
- d 6.902, 12.8 deg, intensity 57, (0 0 1)
- d 5.663, 15.6 deg, intensity 100, (1 0 -1)
- d 3.912, 22.7 deg, intensity 47, (1 1 -1)
- d 3.038, 29.4 deg, intensity 19, (-1 1 2)
- d 2.991, 29.9 deg, intensity 18, (0 2 0)
- d 2.946, 30.3 deg, intensity 38, (1 -2 1)
- d 2.245, 40.2 deg, intensity 51, (2 0 1)
- d 2.157, 41.9 deg, intensity 47, (-2 1 3)
- d 2.023, 44.8 deg, intensity 36, (0 3 -2)
- d 1.501, 61.8 deg, intensity 26, (2 -3 3)


The following is a calculated powder diffractogram of LiV2OF7. It was derived from a cell relaxed with PBE+U, using copper Kα.
Lines closer than 0.1° are merged.

Atomic structure:
Cell lengths 9.5965, 6.0515, 6.5868 Å; angles 90.00, 133.07, 90.00 degrees
Space group Cm (No. 8)
Symmetry-distinct sites (fractional):
Li 0.0000 0.0000 0.0000 (multiplicity 2)
V 0.4579 0.2432 0.4563 (multiplicity 4)
O 0.2940 0.0000 0.2960 (multiplicity 2)
F 0.1412 0.0000 0.6346 (multiplicity 2)
F 0.1496 0.5000 0.6440 (multiplicity 2)
F 0.2817 0.5000 0.2846 (multiplicity 2)
F 0.4668 0.2663 0.1900 (multiplicity 4)
F 0.4757 0.2666 0.7487 (multiplicity 4)

Peak list (10 most intense, 10 to 90 degrees two-theta, sorted by position)
- d 4.800, 18.5 deg, intensity 100, (2 0 -1)
- d 3.505, 25.4 deg, intensity 31, (2 0 0)
- d 3.293, 27.1 deg, intensity 16, (2 0 -2)
- d 3.026, 29.5 deg, intensity 10, (0 2 0)
- d 2.559, 35.1 deg, intensity 10, (2 2 -1)
- d 2.290, 39.3 deg, intensity 46, (2 2 0)
- d 2.098, 43.1 deg, intensity 10, (2 0 -3)
- d 2.092, 43.2 deg, intensity 9, (4 0 -3)
- d 1.782, 51.3 deg, intensity 10, (2 2 1)
- d 1.779, 51.4 deg, intensity 11, (4 2 -1)


The following is a calculated powder diffractogram of Li2VO2F. It was derived from a cell relaxed with PBE+U, using copper Kα.
Lines closer than 0.1° are merged.

Atomic structure:
Cell lengths 9.8936, 2.9455, 8.4431 Å; angles 90.00, 115.11, 90.00 degrees
Space group C2/m (No. 12)
Symmetry-distinct sites (fractional):
Li 0.0000 0.0000 0.0000 (multiplicity 2)
Li 0.0000 0.0000 0.5000 (multiplicity 2)
Li 0.1522 0.5000 0.3266 (multiplicity 4)
V 0.1643 0.5000 0.8350 (multiplicity 4)
O 0.0131 0.0000 0.7494 (multiplicity 4)
O 0.1765 0.5000 0.0862 (multiplicity 4)
F 0.1698 0.5000 0.5848 (multiplicity 4)

Peak list (10 most intense, 10 to 90 degrees two-theta, sorted by position)
- d 7.645, 11.6 deg, intensity 51, (0 0 1)
- d 4.870, 18.2 deg, intensity 100, (2 0 -1)
- d 4.479, 19.8 deg, intensity 20, (2 0 0)
- d 3.818, 23.3 deg, intensity 25, (2 0 -2)
- d 2.548, 35.2 deg, intensity 15, (0 0 3)
- d 2.522, 35.6 deg, intensity 26, (1 1 1)
- d 2.111, 42.8 deg, intensity 50, (2 0 -4)
- d 2.097, 43.1 deg, intensity 97, (3 1 0)
- d 1.489, 62.4 deg, intensity 27, (1 1 4)
- d 1.486, 62.5 deg, intensity 26, (5 1 -4)


The following is a calculated powder diffractogram of Li3V2O4F2. It was derived from a cell relaxed with PBE+U, using copper Kα.
Lines closer than 0.1° are merged.

Atomic structure:
Cell lengths 5.1969, 5.9243, 14.9225 Å; angles 90.00, 90.32, 90.00 degrees
Space group P2/m (No. 10)
Symmetry-distinct sites (fractional):
Li 0.0000 0.0000 0.0000 (multiplicity 1)
Li 0.0000 0.5000 0.5000 (multiplicity 1)
Li 0.1539 0.2472 0.6278 (multiplicity 4)
Li 0.3066 0.0000 0.3705 (multiplicity 2)
Li 0.5000 0.2579 0.0000 (multiplicity 2)
Li 0.5000 0.2713 0.5000 (multiplicity 2)
V 0.1654 0.2603 0.1658 (multiplicity 4)
V 0.3271 0.5000 0.8357 (multiplicity 2)
V 0.3319 0.0000 0.8304 (multiplicity 2)
O 0.0021 0.0000 0.7662 (multiplicity 2)
O 0.0020 0.5000 0.2339 (multiplicity 2)
O 0.1700 0.2359 0.9065 (multiplicity 4)
O 0.3269 0.0000 0.0921 (multiplicity 2)
O 0.3456 0.5000 0.0903 (multiplicity 2)
O 0.4985 0.2424 0.7706 (multiplicity 4)
F 0.1719 0.2546 0.4199 (multiplicity 4)
F 0.3107 0.5000 0.5764 (multiplicity 2)
F 0.3538 0.0000 0.5915 (multiplicity 2)

Peak list (10 most intense, 10 to 90 degrees two-theta, sorted by position)
- d 7.461, 11.9 deg, intensity 34, (0 0 2)
- d 4.974, 17.8 deg, intensity 100, (0 0 3)
- d 3.731, 23.9 deg, intensity 15, (0 0 4)
- d 2.559, 35.1 deg, intensity 14, (2 0 1)
- d 2.536, 35.4 deg, intensity 28, (1 2 -1)
- d 2.127, 42.5 deg, intensity 32, (2 0 4)
- d 2.121, 42.6 deg, intensity 64, (1 2 -4)
- d 1.644, 55.9 deg, intensity 16, (2 0 7)
- d 1.508, 61.5 deg, intensity 14, (1 2 8)
- d 1.495, 62.1 deg, intensity 18, (3 2 0)